The following is a theoretical powder XRD pattern of RbSn12Hg3. It was derived from a PBE-relaxed structure, using Cu Kα, 1.54184 Å.

Cell: 14.1589 14.1589 14.1589 Å, 38.65 38.65 38.65°
Positions (direct):
Rb: 0.0000 0.0000 0.0000
Rb: 0.5000 0.5000 0.5000
Sn: 0.0464 0.3052 0.4535
Sn: 0.0503 0.6784 0.7823
Sn: 0.0795 0.9445 0.6847
Sn: 0.1784 0.5503 0.2823
Sn: 0.1847 0.4445 0.5795
Sn: 0.2046 0.2576 0.9000
Sn: 0.2576 0.9000 0.2046
Sn: 0.2823 0.1784 0.5503
Sn: 0.3052 0.4535 0.0464
Sn: 0.4000 0.7576 0.7046
Sn: 0.4445 0.5795 0.1847
Sn: 0.4535 0.0464 0.3052
Sn: 0.5464 0.9535 0.8052
Sn: 0.5503 0.2823 0.1784
Sn: 0.5795 0.1847 0.4445
Sn: 0.6784 0.7823 0.0503
Sn: 0.6847 0.0795 0.9445
Sn: 0.7046 0.4000 0.7576
Sn: 0.7576 0.7046 0.4000
Sn: 0.7823 0.0503 0.6784
Sn: 0.8052 0.5464 0.9535
Sn: 0.9000 0.2046 0.2576
Sn: 0.9445 0.6847 0.0795
Sn: 0.9535 0.8052 0.5464
Hg: 0.2839 0.9604 0.3389
Hg: 0.3389 0.2839 0.9604
Hg: 0.4604 0.7839 0.8389
Hg: 0.7839 0.8389 0.4604
Hg: 0.8389 0.4604 0.7839
Hg: 0.9604 0.3389 0.2839

Principal peaks in the range 15 to 90 degrees two-theta, in order of rising 2θ:
d/Å  intensity
3.031  95
2.928  55
2.705  72
2.691  100
2.650  65
2.086  64
2.070  47
1.755  29